[1]
For Ce2ZnSb4, a structure optimized by DFT (PBE) gives the theoretical powder XRD pattern in this record (Cu Kα X-rays).
Neutral-atom scattering factors, no anomalous dispersion.

Largest 10 diffraction maxima, by intensity, 2θ = 15–90°:
| 2θ/deg | I_rel |
| --- | --- |
| 34.03 | 100 |
| 41.03 | 35 |
| 27.09 | 30 |
| 30.11 | 22 |
| 70.29 | 22 |
| 49.85 | 16 |
| 50.58 | 15 |
| 67.09 | 12 |
| 59.42 | 12 |
| 54.29 | 9 |

Structural model:
Unit cell a=4.3993 b=4.3993 c=9.8932 alpha=90.00 beta=90.00 gamma=90.00
Atoms (fractional coordinates):
Ce  0.0000  0.5000  0.2485
Ce  0.5000  0.0000  0.7515
Zn  0.0000  0.0000  0.0000
Sb  0.0000  0.0000  0.5000
Sb  0.0000  0.5000  0.8406
Sb  0.5000  0.0000  0.1594
Sb  0.5000  0.5000  0.5000

***

[2]
For CeSc2, a structure optimized by DFT (PBE) gives the theoretical powder XRD pattern in this record (Cu Kα X-rays).
Neutral-atom scattering factors, no anomalous dispersion.

Largest 10 diffraction maxima, by intensity, 2θ = 15–90°:
| 2θ/deg | I_rel |
| --- | --- |
| 34.57 | 100 |
| 36.43 | 90 |
| 31.24 | 75 |
| 33.93 | 43 |
| 66.35 | 34 |
| 55.16 | 31 |
| 43.73 | 27 |
| 22.43 | 22 |
| 49.69 | 22 |
| 59.87 | 19 |

Structural model:
Unit cell a=8.1568 b=8.1568 c=8.1568 alpha=23.56 beta=23.56 gamma=23.56
Atoms (fractional coordinates):
Ce  0.0000  0.0000  0.0000
Sc  0.2209  0.2209  0.2209
Sc  0.7791  0.7791  0.7791